No. 1
Computed X-ray powder pattern
Compound: CdHIr
Radiation: Cu Kα, 1.54184 Å
Structure: DFT lattice parameters and positions (PBE)

Top 8 peaks for 2θ from 10° to 80°, by angle:
| two_theta | I/Imax |
| --- | --- |
| 19.2 | 8 |
| 33.5 | 28 |
| 38.9 | 100 |
| 39.0 | 22 |
| 52.4 | 16 |
| 59.9 | 18 |
| 70.6 | 17 |
| 73.8 | 35 |

Crystal structure
Unit cell a=3.088 b=3.088 c=4.616 alpha=90.00 beta=90.00 gamma=120.00
Element x y z (fractional)
Cd 0.000 0.000 0.000
H 0.333 0.667 0.545
Ir 0.667 0.333 0.494

***

No. 2
Computed X-ray powder pattern
Compound: BaHO2
Radiation: Cu Kα, 1.54184 Å
Structure: DFT lattice parameters and positions (PBE)

Top 8 peaks for 2θ from 10° to 80°, by angle:
| two_theta | I/Imax |
| --- | --- |
| 21.9 | 58 |
| 24.9 | 34 |
| 25.1 | 100 |
| 31.2 | 42 |
| 32.5 | 42 |
| 34.6 | 67 |
| 35.5 | 26 |
| 44.0 | 31 |

Crystal structure
Unit cell a=7.834 b=4.081 c=8.177 alpha=90.00 beta=113.99 gamma=90.00
Element x y z (fractional)
Ba 0.230 0.228 0.099
Ba 0.230 0.272 0.599
Ba 0.770 0.728 0.401
Ba 0.770 0.772 0.901
H 0.435 0.728 0.979
H 0.435 0.772 0.479
H 0.565 0.228 0.521
H 0.565 0.272 0.021
O 0.033 0.623 0.259
O 0.033 0.877 0.759
O 0.447 0.731 0.103
O 0.447 0.769 0.603
O 0.553 0.231 0.397
O 0.553 0.269 0.897
O 0.967 0.123 0.241
O 0.967 0.377 0.741